The following is a simulated X-ray powder pattern of K2Fe2C. It was derived from the PBE geometry in Alexandria, using a wavelength of 1.5418 Å.
Intensities are scaled so that the largest is 100.

Crystal structure
Lattice parameters (Å, degrees): 3.139 3.139 20.064 90.00 90.00 90.00
Fractional coordinates of all 10 atoms:
K1 0.000 0.000 0.094
K2 0.000 0.000 0.906
K3 0.500 0.500 0.406
K4 0.500 0.500 0.594
Fe1 0.000 0.500 0.250
Fe2 0.000 0.500 0.750
Fe3 0.500 0.000 0.250
Fe4 0.500 0.000 0.750
C1 0.000 0.000 0.500
C2 0.500 0.500 0.000

Main lines, sorted by position (2θ = 10–90°):
| 2θ/deg | d_spacing | Rel. int. | hkl |
| --- | --- | --- | --- |
| 17.7 | 5.016 | 42.7 | 0 0 4 |
| 26.7 | 3.344 | 100.0 | 0 0 6 |
| 28.8 | 3.101 | 31.7 | 1 0 1 |
| 35.8 | 2.508 | 22.1 | 0 0 8 |
| 36.3 | 2.473 | 41.0 | 1 0 5 |
| 41.7 | 2.167 | 86.0 | 1 1 2 |
| 44.6 | 2.030 | 74.8 | 1 1 4 |
| 58.8 | 1.570 | 23.7 | 2 0 0 |
| 62.4 | 1.488 | 36.6 | 1 1 10 |
| 65.7 | 1.421 | 25.9 | 2 0 6 |